Calculated X-ray powder pattern
Compound: Ac4BiSb2Te
Radiation: Cu Ka
Structure: a crystal structure in Alexandria, relaxed with GGA-PBE
Intensities are scaled so that the largest is 100.

Structure:
a = 8.322 Å, b = 8.322 Å, c = 8.322 Å
α = 131.82°, β = 131.82°, γ = 70.51°
Positions (direct):
1 Ac 0.246 0.246 0.000
2 Ac 0.503 0.003 0.500
3 Ac 0.754 0.754 0.000
4 Ac 0.997 0.497 0.500
5 Bi 0.250 0.750 0.500
6 Sb 0.000 0.000 0.000
7 Sb 0.750 0.250 0.500
8 Te 0.500 0.500 0.000

Most intense lines, 2θ = 10–90°, by intensity:
2θ (°)	I_rel
26.23	100
37.44	80
60.99	39
46.29	29
67.54	29
85.81	19
53.98	14
79.86	9
22.67	8
44.21	5

=====

Calculated X-ray powder pattern
Compound: Ac2RhPb3
Radiation: Cu Ka
Structure: a crystal structure in Alexandria, relaxed with GGA-PBE
Intensities are scaled so that the largest is 100.

Structure:
a = 4.458 Å, b = 5.087 Å, c = 8.403 Å
α = 90.00°, β = 90.00°, γ = 90.00°
Positions (direct):
1 Ac 0.000 0.000 0.000
2 Ac 0.000 0.500 0.451
3 Rh 0.500 0.000 0.264
4 Pb 0.500 0.000 0.592
5 Pb 0.500 0.500 0.148
6 Pb 0.500 0.500 0.791

Most intense lines, 2θ = 10–90°, by intensity:
2θ (°)	I_rel
28.67	100
29.21	45
36.63	45
35.28	32
55.71	27
46.44	26
40.47	22
54.75	18
59.33	14
78.70	10

=====

Calculated X-ray powder pattern
Compound: Rb3LiF3
Radiation: Cu Ka
Structure: a crystal structure in Alexandria, relaxed with GGA-PBE
Intensities are scaled so that the largest is 100.

Structure:
a = 7.689 Å, b = 7.689 Å, c = 8.640 Å
α = 91.99°, β = 91.99°, γ = 120.51°
Positions (direct):
1 Rb 0.144 0.856 0.000
2 Rb 0.228 0.772 0.500
3 Rb 0.393 0.393 0.697
4 Rb 0.607 0.607 0.303
5 Rb 0.772 0.228 0.500
6 Rb 0.856 0.144 0.000
7 Li 0.170 0.170 0.349
8 Li 0.830 0.830 0.651
9 F 0.033 0.033 0.773
10 F 0.170 0.393 0.428
11 F 0.393 0.170 0.428
12 F 0.607 0.830 0.572
13 F 0.830 0.607 0.572
14 F 0.967 0.967 0.227

Most intense lines, 2θ = 10–90°, by intensity:
2θ (°)	I_rel
24.59	100
23.15	77
17.39	74
37.80	62
33.13	49
10.26	46
23.37	45
28.68	39
28.32	38
46.98	36

=====

Calculated X-ray powder pattern
Compound: HfAl3Zn4
Radiation: Cu Ka
Structure: a crystal structure in Alexandria, relaxed with GGA-PBE
Intensities are scaled so that the largest is 100.

Structure:
a = 7.710 Å, b = 7.710 Å, c = 7.710 Å
α = 156.72°, β = 129.34°, γ = 56.47°
Positions (direct):
1 Hf 0.000 0.000 0.000
2 Al 0.182 0.682 0.500
3 Al 0.500 0.500 0.000
4 Al 0.818 0.318 0.500
5 Zn 0.166 0.854 0.312
6 Zn 0.458 0.146 0.312
7 Zn 0.542 0.854 0.688
8 Zn 0.834 0.146 0.688

Most intense lines, 2θ = 10–90°, by intensity:
2θ (°)	I_rel
41.65	100
44.76	83
34.50	81
29.45	78
38.03	60
23.83	56
14.93	46
30.12	39
39.81	39
55.82	32